Structure and computed powder diffractogram of Ce2Cu11Au (a cell relaxed with GGA-PBE; a wavelength of 1.5418 Å).
Peak positions follow from Bragg's law for the DFT cell and can differ from measured ones.

Most intense lines, 2θ from 10° to 90°, in order of rising 2θ:
35.6 deg, 2.524 Å, intensity 45, (2 0 0)
36.7 deg, 2.447 Å, intensity 49, (0 4 1)
38.6 deg, 2.334 Å, intensity 100, (1 1 3)
38.7 deg, 2.327 Å, intensity 76, (1 3 2)
43.0 deg, 2.101 Å, intensity 43, (2 1 2)
45.5 deg, 1.995 Å, intensity 55, (1 4 2)
46.1 deg, 1.971 Å, intensity 52, (2 3 1)
65.9 deg, 1.417 Å, intensity 38, (3 1 3)

Structure:
abc: 5.047 10.261 8.169
angles: 90.00 90.00 90.00
Positions (direct):
Ce (0.000, 0.184, 0.000)
Ce (0.000, 0.816, 0.500)
Ce (0.500, 0.313, 0.481)
Ce (0.500, 0.687, 0.981)
Cu (0.000, 0.109, 0.386)
Cu (0.000, 0.263, 0.642)
Cu (0.000, 0.348, 0.302)
Cu (0.000, 0.500, 0.057)
Cu (0.000, 0.500, 0.557)
Cu (0.000, 0.652, 0.802)
Cu (0.000, 0.737, 0.142)
Cu (0.000, 0.891, 0.886)
Cu (0.243, 0.058, 0.675)
Cu (0.243, 0.942, 0.175)
Cu (0.250, 0.437, 0.806)
Cu (0.250, 0.563, 0.306)
Cu (0.500, 0.001, 0.425)
Cu (0.500, 0.146, 0.186)
Cu (0.500, 0.232, 0.829)
Cu (0.500, 0.768, 0.329)
Cu (0.500, 0.854, 0.686)
Cu (0.500, 0.999, 0.925)
Cu (0.750, 0.437, 0.806)
Cu (0.750, 0.563, 0.306)
Cu (0.757, 0.058, 0.675)
Cu (0.757, 0.942, 0.175)
Au (0.500, 0.389, 0.101)
Au (0.500, 0.611, 0.601)